(1)
# Mn2HPt6
Theoretical PXRD pattern, Cu Kα, 1.54184 Å. Input: the PBE geometry in Alexandria.
No peak broadening, texture or thermal motion is included.

Cell and atoms:
a b c (Å): 4.579 9.738 7.213
angles (deg): 90.00 128.96 90.00
Sites, in units of the cell vectors:
Mn  0.000  0.163  0.000
Mn  0.000  0.837  0.500
Mn  0.037  0.337  0.517
Mn  0.037  0.663  0.017
H  0.501  0.254  0.279
H  0.501  0.746  0.779
Pt  0.259  0.084  0.754
Pt  0.259  0.916  0.254
Pt  0.264  0.418  0.255
Pt  0.264  0.582  0.755
Pt  0.515  0.164  0.512
Pt  0.515  0.836  0.012
Pt  0.521  0.335  0.006
Pt  0.521  0.665  0.506
Pt  0.771  0.084  0.262
Pt  0.771  0.916  0.762
Pt  0.778  0.416  0.764
Pt  0.778  0.584  0.264

Main lines, by angle (2θ = 10–80°):
- (0 2 1), 2θ = 24.21°, intensity 11.3
- (0 4 0), 2θ = 36.97°, intensity 35.8
- (2 0 -2), 2θ = 39.36°, intensity 40.2
- (1 2 1), 2θ = 42.00°, intensity 100.0
- (1 2 -3), 2θ = 42.22°, intensity 50.4
- (0 6 2), 2θ = 66.57°, intensity 17.2
- (3 2 -1), 2θ = 72.98°, intensity 10.4
- (3 4 -3), 2θ = 73.19°, intensity 9.5
- (3 2 -5), 2θ = 73.49°, intensity 10.3
- (2 6 0), 2θ = 79.98°, intensity 15.4

(2)
# Hg4AsCl4
Theoretical PXRD pattern, Cu Kα, 1.54184 Å. Input: the PBE geometry in Alexandria.
No peak broadening, texture or thermal motion is included.

Cell and atoms:
a b c (Å): 8.906 8.906 6.435
angles (deg): 90.00 90.00 90.00
Sites, in units of the cell vectors:
Hg  0.007  0.750  0.026
Hg  0.250  0.507  0.474
Hg  0.250  0.993  0.474
Hg  0.493  0.750  0.026
Hg  0.507  0.250  0.974
Hg  0.750  0.007  0.526
Hg  0.750  0.493  0.526
Hg  0.993  0.250  0.974
As  0.250  0.750  0.250
As  0.750  0.250  0.750
Cl  0.054  0.250  0.377
Cl  0.250  0.054  0.877
Cl  0.250  0.446  0.877
Cl  0.446  0.250  0.377
Cl  0.554  0.750  0.623
Cl  0.750  0.554  0.123
Cl  0.750  0.946  0.123
Cl  0.946  0.750  0.623

Main lines, by angle (2θ = 10–80°):
- (2 0 1), 2θ = 24.31°, intensity 100.0
- (0 0 2), 2θ = 27.73°, intensity 17.8
- (2 2 0), 2θ = 28.34°, intensity 50.3
- (2 2 2), 2θ = 40.07°, intensity 40.8
- (4 0 0), 2θ = 40.51°, intensity 25.8
- (2 0 3), 2θ = 47.02°, intensity 23.1
- (4 2 1), 2θ = 47.81°, intensity 38.4
- (4 0 2), 2θ = 49.80°, intensity 14.6
- (4 2 3), 2θ = 63.77°, intensity 16.8
- (6 2 2), 2θ = 73.39°, intensity 14.8

(3)
# Nd13Ag2
Theoretical PXRD pattern, Cu Kα, 1.54184 Å. Input: the PBE geometry in Alexandria.
No peak broadening, texture or thermal motion is included.

Cell and atoms:
a b c (Å): 6.549 8.667 9.565
angles (deg): 68.64 78.58 81.84
Sites, in units of the cell vectors:
Nd  0.000  0.000  0.000
Nd  0.050  0.420  0.701
Nd  0.209  0.178  0.233
Nd  0.250  0.596  0.949
Nd  0.283  0.990  0.645
Nd  0.464  0.372  0.413
Nd  0.475  0.795  0.158
Nd  0.525  0.205  0.842
Nd  0.536  0.628  0.587
Nd  0.717  0.010  0.355
Nd  0.750  0.404  0.051
Nd  0.791  0.822  0.767
Nd  0.950  0.580  0.299
Ag  0.127  0.788  0.453
Ag  0.873  0.212  0.547

Main lines, by angle (2θ = 10–80°):
- (2 1 2), 2θ = 30.54°, intensity 42.2
- (1 -2 1), 2θ = 30.84°, intensity 46.6
- (1 1 -2), 2θ = 30.90°, intensity 100.0
- (1 3 1), 2θ = 32.58°, intensity 45.8
- (-2 1 1), 2θ = 32.71°, intensity 41.2
- (1 0 4), 2θ = 41.24°, intensity 15.2
- (3 2 0), 2θ = 46.63°, intensity 13.6
- (-1 4 2), 2θ = 47.04°, intensity 14.7
- (2 4 -1), 2θ = 57.08°, intensity 15.0
- (0 5 0), 2θ = 57.21°, intensity 14.5